Theoretical X-ray diffraction stick pattern of Co2TeO for Cu Kα X-rays, from a structure optimized by DFT (PBE+U).

Peak list (8 most intense, 10 to 80 degrees two-theta, by angle)
hkl 1 0 2, 2θ = 20.33°, I 13; hkl 2 0 0, 2θ = 29.75°, I 29; hkl 0 1 3, 2θ = 32.97°, I 100; hkl 2 1 1, 2θ = 40.01°, I 20; hkl 2 0 4, 2θ = 41.35°, I 11; hkl 0 0 6, 2θ = 42.63°, I 12; hkl 2 1 3, 2θ = 45.00°, I 32; hkl 0 2 0, 2θ = 51.67°, I 15

Atomic structure:
```
Co2TeO
1.0
6.005 0.000 0.000
0.000 3.538 0.000
0.000 0.000 12.726
Co Te O
8 4 4
direct
0.089 0.250 0.211 Co
0.237 0.750 0.412 Co
0.263 0.250 0.912 Co
0.411 0.750 0.711 Co
0.589 0.250 0.289 Co
0.737 0.750 0.088 Co
0.763 0.250 0.588 Co
0.911 0.750 0.789 Co
0.222 0.250 0.584 Te
0.278 0.750 0.084 Te
0.722 0.250 0.916 Te
0.778 0.750 0.416 Te
0.221 0.750 0.833 O
0.279 0.250 0.333 O
0.721 0.750 0.667 O
0.779 0.250 0.167 O
```